1.
For Nd3RuO7, the GGA-PBE geometry in the Materials Project gives the theoretical XRD peak list in this record (CuKα).
No peak broadening, texture or thermal motion is included.

Most intense lines, 2θ from 10° to 80°, low angle first:
2θ = 26.6°, 3.356 Å, I = 15, (0 2 1); 2θ = 28.5°, 3.127 Å, I = 100, (2 0 2); 2θ = 28.9°, 3.090 Å, I = 81, (2 2 0); 2θ = 31.2°, 2.863 Å, I = 16, (2 2 1); 2θ = 32.6°, 2.743 Å, I = 20, (4 0 0); 2θ = 33.6°, 2.667 Å, I = 38, (0 2 2); 2θ = 44.6°, 2.030 Å, I = 12, (5 1 1); 2θ = 47.5°, 1.912 Å, I = 42, (4 2 2); 2θ = 47.8°, 1.903 Å, I = 18, (0 0 4); 2θ = 56.8°, 1.620 Å, I = 28, (2 2 4)

Crystal structure
Unit cell a=10.973 b=7.478 c=7.613 alpha=90.00 beta=90.00 gamma=90.00
Space group Cmcm (No. 63)
One atom of each set of equivalent atoms:
Nd 0.000 0.000 0.000 [4 per cell]
Nd 0.221 0.307 0.250 [8 per cell]
Ru 0.000 0.500 0.000 [4 per cell]
O 0.000 0.417 0.250 [4 per cell]
O 0.126 0.314 0.539 [16 per cell]
O 0.132 0.027 0.250 [8 per cell]

2.
For VSi2, the GGA-PBE geometry in the Materials Project gives the theoretical XRD peak list in this record (CuKα).
No peak broadening, texture or thermal motion is included.

Most intense lines, 2θ from 10° to 80°, low angle first:
2θ = 26.5°, 3.359 Å, I = 15, (1 0 1); 2θ = 36.2°, 2.481 Å, I = 7, (1 0 2); 2θ = 39.5°, 2.282 Å, I = 15, (1 1 0); 2θ = 42.0°, 2.149 Å, I = 100, (1 1 1); 2θ = 42.6°, 2.124 Å, I = 36, (0 0 3); 2θ = 49.1°, 1.855 Å, I = 62, (1 1 2); 2θ = 59.4°, 1.555 Å, I = 8, (1 1 3); 2θ = 72.3°, 1.306 Å, I = 18, (1 1 4); 2θ = 73.4°, 1.290 Å, I = 18, (3 0 1); 2θ = 78.6°, 1.218 Å, I = 15, (3 0 2)

Crystal structure
Unit cell a=4.5649 b=4.5649 c=6.3722 alpha=90.00 beta=90.00 gamma=120.00
Space group P6_422 (No. 181)
One atom of each set of equivalent atoms:
V 0.0000 0.5000 0.3333 [3 per cell]
Si 0.1628 0.3257 0.0000 [6 per cell]

3.
For MgTi2Hg2O6, the GGA-PBE geometry in the Materials Project gives the theoretical XRD peak list in this record (CuKα).
No peak broadening, texture or thermal motion is included.

Most intense lines, 2θ from 10° to 80°, low angle first:
2θ = 20.9°, 4.246 Å, I = 100, (0 1 2); 2θ = 29.4°, 3.036 Å, I = 85, (0 1 5); 2θ = 33.1°, 2.710 Å, I = 77, (1 1 0); 2θ = 35.8°, 2.509 Å, I = 25, (1 1 3); 2θ = 37.0°, 2.432 Å, I = 58, (1 0 7); 2θ = 39.4°, 2.285 Å, I = 26, (2 0 2); 2θ = 44.8°, 2.022 Å, I = 27, (2 0 5); 2θ = 50.4°, 1.810 Å, I = 25, (0 2 7); 2θ = 56.8°, 1.621 Å, I = 27, (3 -2 5); 2θ = 61.6°, 1.505 Å, I = 26, (3 -1 7)

Crystal structure
Unit cell a=5.4206 b=5.4206 c=19.9067 alpha=90.00 beta=90.00 gamma=120.00
Space group R3 (No. 146, hexagonal axes)
One atom of each set of equivalent atoms:
Mg 0.0000 0.0000 0.0000 [3 per cell]
Ti 0.0000 0.0000 0.3236 [3 per cell]
Ti 0.0000 0.0000 0.7524 [3 per cell]
Hg 0.0000 0.0000 0.1617 [3 per cell]
Hg 0.0000 0.0000 0.5869 [3 per cell]
O 0.0400 0.3461 0.3872 [9 per cell]
O 0.0672 0.7240 0.9445 [9 per cell]

4.
For CoNiSn, the GGA-PBE geometry in the Materials Project gives the theoretical XRD peak list in this record (CuKα).
No peak broadening, texture or thermal motion is included.

Most intense lines, 2θ from 10° to 80°, low angle first:
2θ = 24.1°, 3.688 Å, I = 7, (1 0 0); 2θ = 29.5°, 3.026 Å, I = 20, (1 0 1); 2θ = 33.9°, 2.647 Å, I = 16, (0 0 2); 2θ = 42.0°, 2.150 Å, I = 80, (1 0 2); 2θ = 42.5°, 2.129 Å, I = 100, (1 1 0); 2θ = 55.4°, 1.659 Å, I = 24, (1 1 2); 2θ = 61.3°, 1.513 Å, I = 25, (2 0 2); 2θ = 71.3°, 1.323 Å, I = 7, (0 0 4); 2θ = 77.4°, 1.233 Å, I = 25, (2 1 2); 2θ = 77.7°, 1.229 Å, I = 16, (3 0 0)

Crystal structure
Unit cell a=4.2588 b=4.2588 c=5.2935 alpha=90.00 beta=90.00 gamma=120.00
Space group P6_3/mmc (No. 194)
One atom of each set of equivalent atoms:
Co 0.0000 0.0000 0.0000 [2 per cell]
Ni 0.3333 0.6667 0.2500 [2 per cell]
Sn 0.3333 0.6667 0.7500 [2 per cell]

5.
For Ti2ZnO4, the GGA-PBE geometry in the Materials Project gives the theoretical XRD peak list in this record (CuKα).
No peak broadening, texture or thermal motion is included.

Most intense lines, 2θ from 10° to 80°, low angle first:
2θ = 29.6°, 3.021 Å, I = 44, (2 2 0); 2θ = 34.8°, 2.576 Å, I = 100, (3 1 1); 2θ = 36.4°, 2.466 Å, I = 3, (2 2 2); 2θ = 42.3°, 2.136 Å, I = 11, (4 0 0); 2θ = 52.5°, 1.744 Å, I = 16, (4 2 2); 2θ = 55.9°, 1.644 Å, I = 36, (5 1 1); 2θ = 61.4°, 1.510 Å, I = 44, (4 4 0); 2θ = 69.6°, 1.351 Å, I = 6, (6 2 0); 2θ = 72.6°, 1.303 Å, I = 10, (5 3 3); 2θ = 73.5°, 1.288 Å, I = 2, (6 2 2)

Crystal structure
Unit cell a=8.544 b=8.544 c=8.544 alpha=90.00 beta=90.00 gamma=90.00
Space group Fd-3m (No. 227, origin choice 2)
One atom of each set of equivalent atoms:
Ti 0.000 0.000 0.000 [16 per cell]
Zn 0.125 0.125 0.625 [8 per cell]
O 0.009 0.009 0.241 [32 per cell]

6.
For BaCu4O7, the GGA-PBE geometry in the Materials Project gives the theoretical XRD peak list in this record (CuKα).
No peak broadening, texture or thermal motion is included.

Most intense lines, 2θ from 10° to 80°, low angle first:
2θ = 18.2°, 4.881 Å, I = 68, (1 0 1); 2θ = 30.6°, 2.922 Å, I = 41, (1 0 3); 2θ = 33.0°, 2.718 Å, I = 79, (1 1 2); 2θ = 33.5°, 2.675 Å, I = 100, (2 0 1); 2θ = 34.8°, 2.580 Å, I = 28, (0 0 4); 2θ = 51.1°, 1.788 Å, I = 17, (2 1 3); 2θ = 52.6°, 1.738 Å, I = 21, (3 0 2); 2θ = 55.5°, 1.655 Å, I = 30, (2 0 5); 2θ = 57.6°, 1.599 Å, I = 32, (2 2 0); 2θ = 69.1°, 1.359 Å, I = 19, (2 2 4)

Crystal structure
Unit cell a=6.3961 b=6.3961 c=10.3206 alpha=90.00 beta=90.00 gamma=120.00
Space group P6_3mc (No. 186)
One atom of each set of equivalent atoms:
Ba 0.3333 0.6667 0.0000 [2 per cell]
Cu 0.0000 0.0000 0.4449 [2 per cell]
Cu 0.1696 0.3393 0.6976 [6 per cell]
O 0.0000 0.0000 0.2602 [2 per cell]
O 0.0374 0.5187 0.7619 [6 per cell]
O 0.1517 0.3033 0.5200 [6 per cell]

7.
For KSNO3, the GGA-PBE geometry in the Materials Project gives the theoretical XRD peak list in this record (CuKα).
No peak broadening, texture or thermal motion is included.

Most intense lines, 2θ from 10° to 80°, low angle first:
2θ = 20.8°, 4.264 Å, I = 59, (1 1 1); 2θ = 21.1°, 4.219 Å, I = 13, (0 2 0); 2θ = 23.4°, 3.809 Å, I = 58, (0 2 1); 2θ = 25.1°, 3.554 Å, I = 35, (1 0 2); 2θ = 27.2°, 3.275 Å, I = 100, (1 1 2); 2θ = 27.8°, 3.209 Å, I = 21, (1 2 1); 2θ = 30.0°, 2.977 Å, I = 28, (2 0 0); 2θ = 35.3°, 2.543 Å, I = 35, (1 3 0); 2θ = 46.3°, 1.961 Å, I = 16, (0 2 4); 2θ = 47.8°, 1.905 Å, I = 16, (0 4 2)

Crystal structure
Unit cell a=5.955 b=8.438 c=8.857 alpha=90.00 beta=90.00 gamma=90.00
Space group Pbcm (No. 57)
One atom of each set of equivalent atoms:
K 0.167 0.250 0.000 [4 per cell]
S 0.318 0.628 0.250 [4 per cell]
N 0.203 0.694 0.750 [4 per cell]
O 0.232 0.555 0.110 [8 per cell]
O 0.437 0.153 0.250 [4 per cell]

8.
For HfNpO3, the GGA-PBE geometry in the Materials Project gives the theoretical XRD peak list in this record (CuKα).
No peak broadening, texture or thermal motion is included.

Most intense lines, 2θ from 10° to 80°, low angle first:
2θ = 21.6°, 4.121 Å, I = 1, (1 0 0); 2θ = 30.7°, 2.914 Å, I = 100, (1 1 0); 2θ = 37.8°, 2.379 Å, I = 3, (1 1 1); 2θ = 43.9°, 2.061 Å, I = 26, (2 0 0); 2θ = 49.5°, 1.843 Å, I = 1, (2 1 0); 2θ = 54.5°, 1.682 Å, I = 42, (2 1 1); 2θ = 63.9°, 1.457 Å, I = 17, (2 2 0); 2θ = 72.5°, 1.303 Å, I = 18, (3 1 0); 2θ = 76.7°, 1.243 Å, I = 1, (3 1 1)

Crystal structure
Unit cell a=4.121 b=4.121 c=4.121 alpha=90.00 beta=90.00 gamma=90.00
Space group Pm-3m (No. 221)
One atom of each set of equivalent atoms:
Hf 0.000 0.000 0.000 [1 per cell]
Np 0.500 0.500 0.500 [1 per cell]
O 0.000 0.000 0.500 [3 per cell]

9.
For TiGaTc2, the GGA-PBE geometry in the Materials Project gives the theoretical XRD peak list in this record (CuKα).
No peak broadening, texture or thermal motion is included.

Most intense lines, 2θ from 10° to 80°, low angle first:
2θ = 25.0°, 3.564 Å, I = 2, (1 1 1); 2θ = 28.9°, 3.086 Å, I = 8, (2 0 0); 2θ = 41.4°, 2.182 Å, I = 100, (2 2 0); 2θ = 48.9°, 1.861 Å, I = 1, (3 1 1); 2θ = 51.3°, 1.782 Å, I = 2, (2 2 2); 2θ = 59.9°, 1.543 Å, I = 16, (4 0 0); 2θ = 67.9°, 1.380 Å, I = 3, (4 2 0); 2θ = 75.4°, 1.260 Å, I = 32, (4 2 2)

Crystal structure
Unit cell a=6.173 b=6.173 c=6.173 alpha=90.00 beta=90.00 gamma=90.00
Space group Fm-3m (No. 225)
One atom of each set of equivalent atoms:
Ti 0.000 0.000 0.000 [4 per cell]
Ga 0.000 0.000 0.500 [4 per cell]
Tc 0.250 0.250 0.250 [8 per cell]

10.
For Ga7Pt3, the GGA-PBE geometry in the Materials Project gives the theoretical XRD peak list in this record (CuKα).
No peak broadening, texture or thermal motion is included.

Most intense lines, 2θ from 10° to 80°, low angle first:
2θ = 20.0°, 4.438 Å, I = 20, (2 0 0); 2θ = 24.6°, 3.624 Å, I = 54, (2 1 1); 2θ = 35.0°, 2.562 Å, I = 28, (2 2 2); 2θ = 37.9°, 2.372 Å, I = 13, (3 2 1); 2θ = 43.2°, 2.092 Å, I = 100, (3 3 0); 2θ = 48.1°, 1.893 Å, I = 8, (3 3 2); 2θ = 50.4°, 1.812 Å, I = 20, (4 2 2); 2θ = 62.8°, 1.479 Å, I = 20, (6 0 0); 2θ = 68.5°, 1.370 Å, I = 15, (5 4 1); 2θ = 79.3°, 1.208 Å, I = 35, (6 3 3)

Crystal structure
Unit cell a=8.877 b=8.877 c=8.877 alpha=90.00 beta=90.00 gamma=90.00
Space group Im-3m (No. 229)
One atom of each set of equivalent atoms:
Ga 0.000 0.250 0.500 [12 per cell]
Ga 0.164 0.164 0.164 [16 per cell]
Pt 0.000 0.000 0.341 [12 per cell]

11.
For Te6IrBr3, the GGA-PBE geometry in the Materials Project gives the theoretical XRD peak list in this record (CuKα).
No peak broadening, texture or thermal motion is included.

Most intense lines, 2θ from 10° to 80°, low angle first:
2θ = 11.4°, 7.779 Å, I = 91, (1 1 0); 2θ = 29.9°, 2.993 Å, I = 100, (3 1 2); 2θ = 37.9°, 2.372 Å, I = 24, (5 0 2); 2θ = 43.6°, 2.077 Å, I = 35, (1 3 4); 2θ = 46.7°, 1.945 Å, I = 29, (4 4 0); 2θ = 49.8°, 1.832 Å, I = 11, (0 5 4); 2θ = 50.8°, 1.796 Å, I = 12, (0 7 2); 2θ = 61.7°, 1.504 Å, I = 11, (1 8 2); 2θ = 71.5°, 1.319 Å, I = 10, (8 3 2); 2θ = 75.1°, 1.265 Å, I = 12, (4 4 6)

Crystal structure
Unit cell a=15.5575 b=15.5575 c=9.9957 alpha=90.00 beta=90.00 gamma=120.00
Space group R-3c (No. 167, hexagonal axes)
One atom of each set of equivalent atoms:
Te 0.0757 0.1636 0.0957 [36 per cell]
Ir 0.0000 0.0000 0.2500 [6 per cell]
Br 0.0000 0.2614 0.7500 [18 per cell]